Entry 1:
Theoretical XRD peak list
Compound: Tb4HgS3
Radiation: copper Kα
Structure: DFT lattice parameters and positions (PBE)
Kinematic intensities with the Lorentz-polarization factor, no thermal factor.

Atomic structure:
Cell lengths 8.1910, 11.4348, 3.9569 Å; angles 90.00, 90.00, 90.00 degrees
Space group Cmmm (No. 65)
Symmetry-distinct sites (fractional):
Tb: 0.0000 0.2428 0.0000 [4 per cell]
Tb: 0.2341 0.0000 0.5000 [4 per cell]
Hg: 0.0000 0.5000 0.0000 [2 per cell]
S: 0.0000 0.0000 0.0000 [2 per cell]
S: 0.2500 0.2500 0.5000 [4 per cell]

Most intense lines, 2θ from 15° to 90°, sorted by position:
| Position (°2θ) | d_spacing | I/Imax |
| --- | --- | --- |
| 26.8 | 3.329 | 18 |
| 27.4 | 3.254 | 18 |
| 31.3 | 2.859 | 51 |
| 31.4 | 2.846 | 100 |
| 44.2 | 2.048 | 19 |
| 44.9 | 2.017 | 73 |
| 45.9 | 1.978 | 18 |
| 55.2 | 1.665 | 19 |
| 56.6 | 1.627 | 19 |
| 74.3 | 1.277 | 16 |

=====

Entry 2:
Theoretical XRD peak list
Compound: La3SmY2
Radiation: copper Kα
Structure: DFT lattice parameters and positions (PBE)
Kinematic intensities with the Lorentz-polarization factor, no thermal factor.

Atomic structure:
Cell lengths 10.3655, 7.2862, 12.2018 Å; angles 90.00, 115.12, 90.00 degrees
Space group C2/c (No. 15)
Symmetry-distinct sites (fractional):
La: 0.0000 0.1251 0.2500 [4 per cell]
La: 0.1667 0.1244 0.5832 [8 per cell]
Sm: 0.0000 0.3745 0.7500 [4 per cell]
Y: 0.1661 0.3750 0.0823 [8 per cell]

Most intense lines, 2θ from 15° to 90°, sorted by position:
| Position (°2θ) | d_spacing | I/Imax |
| --- | --- | --- |
| 29.8 | 3.002 | 100 |
| 30.0 | 2.980 | 98 |
| 34.6 | 2.590 | 100 |
| 49.5 | 1.841 | 12 |
| 49.8 | 1.832 | 47 |
| 59.0 | 1.566 | 35 |
| 59.2 | 1.561 | 14 |
| 59.3 | 1.557 | 28 |
| 61.8 | 1.501 | 12 |
| 83.4 | 1.159 | 21 |

=====

Entry 3:
Theoretical XRD peak list
Compound: Cs2BaInI5
Radiation: copper Kα
Structure: DFT lattice parameters and positions (PBE)
Kinematic intensities with the Lorentz-polarization factor, no thermal factor.

Atomic structure:
Cell lengths 5.2735, 22.1921, 17.1507 Å; angles 90.00, 90.00, 90.00 degrees
Space group Cmc2_1 (No. 36)
Symmetry-distinct sites (fractional):
Cs: 0.0000 0.0881 0.0000 [4 per cell]
Cs: 0.0000 0.1318 0.6398 [4 per cell]
Ba: 0.0000 0.2235 0.3649 [4 per cell]
In: 0.0000 0.4590 0.7926 [4 per cell]
I: 0.0000 0.0737 0.4107 [4 per cell]
I: 0.0000 0.2641 0.0017 [4 per cell]
I: 0.0000 0.3041 0.7356 [4 per cell]
I: 0.0000 0.3766 0.3287 [4 per cell]
I: 0.0000 0.4958 0.1080 [4 per cell]

Most intense lines, 2θ from 15° to 90°, sorted by position:
| Position (°2θ) | d_spacing | I/Imax |
| --- | --- | --- |
| 20.2 | 4.403 | 43 |
| 23.3 | 3.818 | 100 |
| 24.6 | 3.616 | 49 |
| 26.2 | 3.396 | 53 |
| 27.1 | 3.290 | 27 |
| 27.2 | 3.277 | 22 |
| 28.3 | 3.157 | 23 |
| 34.0 | 2.637 | 46 |
| 36.6 | 2.454 | 26 |
| 42.4 | 2.130 | 25 |

=====

Entry 4:
Theoretical XRD peak list
Compound: RbU2F11
Radiation: copper Kα
Structure: DFT lattice parameters and positions (PBE)
Kinematic intensities with the Lorentz-polarization factor, no thermal factor.

Atomic structure:
Cell lengths 9.6597, 10.3666, 12.3885 Å; angles 90.00, 90.00, 90.00 degrees
Space group Ibam (No. 72)
Symmetry-distinct sites (fractional):
Rb: 0.0000 0.0000 0.2500 [4 per cell]
U: 0.1557 0.3355 0.0000 [8 per cell]
F: 0.0000 0.5000 0.0000 [4 per cell]
F: 0.0583 0.2313 0.1202 [16 per cell]
F: 0.1897 0.3010 0.5000 [8 per cell]
F: 0.2375 0.0644 0.3822 [16 per cell]

Most intense lines, 2θ from 15° to 90°, sorted by position:
| Position (°2θ) | d_spacing | I/Imax |
| --- | --- | --- |
| 19.1 | 4.658 | 58 |
| 20.7 | 4.285 | 96 |
| 21.5 | 4.128 | 100 |
| 22.4 | 3.975 | 33 |
| 23.4 | 3.809 | 22 |
| 27.4 | 3.254 | 19 |
| 29.2 | 3.063 | 27 |
| 29.7 | 3.004 | 30 |
| 41.0 | 2.202 | 48 |
| 41.4 | 2.180 | 24 |

=====

Entry 5:
Theoretical XRD peak list
Compound: DyHg6
Radiation: copper Kα
Structure: DFT lattice parameters and positions (PBE)
Kinematic intensities with the Lorentz-polarization factor, no thermal factor.

Atomic structure:
Cell lengths 4.8911, 4.8911, 7.5515 Å; angles 90.00, 90.00, 90.00 degrees
Space group P4/mmm (No. 123)
Symmetry-distinct sites (fractional):
Dy: 0.0000 0.0000 0.0000 [1 per cell]
Hg: 0.0000 0.0000 0.5000 [1 per cell]
Hg: 0.0000 0.5000 0.2715 [4 per cell]
Hg: 0.5000 0.5000 0.0000 [1 per cell]

Most intense lines, 2θ from 15° to 90°, sorted by position:
| Position (°2θ) | d_spacing | I/Imax |
| --- | --- | --- |
| 21.6 | 4.105 | 11 |
| 35.2 | 2.550 | 100 |
| 36.7 | 2.446 | 47 |
| 48.2 | 1.888 | 9 |
| 52.9 | 1.729 | 17 |
| 62.1 | 1.494 | 17 |
| 65.2 | 1.431 | 34 |
| 74.4 | 1.275 | 10 |
| 88.7 | 1.103 | 8 |
| 89.6 | 1.094 | 8 |

=====

Entry 6:
Theoretical XRD peak list
Compound: Li5Sb
Radiation: copper Kα
Structure: DFT lattice parameters and positions (PBE)
Kinematic intensities with the Lorentz-polarization factor, no thermal factor.

Atomic structure:
Cell lengths 4.5935, 4.5935, 5.8084 Å; angles 90.00, 90.00, 120.00 degrees
Space group P-3m1 (No. 164)
Symmetry-distinct sites (fractional):
Li: 0.0000 0.0000 0.0000 [1 per cell]
Li: 0.3333 0.6667 0.2895 [2 per cell]
Li: 0.3333 0.6667 0.7588 [2 per cell]
Sb: 0.0000 0.0000 0.5000 [1 per cell]

Most intense lines, 2θ from 15° to 90°, sorted by position:
| Position (°2θ) | d_spacing | I/Imax |
| --- | --- | --- |
| 15.3 | 5.808 | 69 |
| 22.3 | 3.978 | 83 |
| 27.2 | 3.282 | 100 |
| 38.4 | 2.346 | 56 |
| 39.2 | 2.297 | 30 |
| 42.3 | 2.136 | 32 |
| 48.4 | 1.882 | 20 |
| 56.0 | 1.641 | 18 |
| 64.0 | 1.456 | 17 |
| 70.5 | 1.335 | 18 |

=====

Entry 7:
Theoretical XRD peak list
Compound: Ca3Ga6Pt5
Radiation: copper Kα
Structure: DFT lattice parameters and positions (PBE)
Kinematic intensities with the Lorentz-polarization factor, no thermal factor.

Atomic structure:
Cell lengths 4.2796, 12.9134, 9.4544 Å; angles 90.00, 90.00, 90.00 degrees
Space group Pmmn (No. 59, origin choice 2)
Symmetry-distinct sites (fractional):
Ca: 0.2500 0.0537 0.2489 [4 per cell]
Ca: 0.2500 0.7500 0.2402 [2 per cell]
Ga: 0.2500 0.0682 0.9080 [4 per cell]
Ga: 0.2500 0.2500 0.0830 [2 per cell]
Ga: 0.2500 0.2500 0.4631 [2 per cell]
Ga: 0.2500 0.5953 0.5190 [4 per cell]
Pt: 0.2500 0.0920 0.6318 [4 per cell]
Pt: 0.2500 0.6336 0.9630 [4 per cell]
Pt: 0.2500 0.7500 0.6991 [2 per cell]

Most intense lines, 2θ from 15° to 90°, sorted by position:
| Position (°2θ) | d_spacing | I/Imax |
| --- | --- | --- |
| 22.7 | 3.918 | 53 |
| 22.8 | 3.899 | 68 |
| 28.1 | 3.180 | 44 |
| 33.6 | 2.666 | 35 |
| 35.1 | 2.554 | 100 |
| 35.4 | 2.539 | 44 |
| 42.0 | 2.153 | 52 |
| 42.2 | 2.140 | 74 |
| 44.3 | 2.043 | 34 |
| 45.5 | 1.996 | 50 |

=====

Entry 8:
Theoretical XRD peak list
Compound: Ca3Sn13Ir4
Radiation: copper Kα
Structure: DFT lattice parameters and positions (PBE)
Kinematic intensities with the Lorentz-polarization factor, no thermal factor.

Atomic structure:
Cell lengths 9.8294, 9.8294, 9.8294 Å; angles 90.00, 90.00, 90.00 degrees
Space group Pm-3n (No. 223)
Symmetry-distinct sites (fractional):
Ca: 0.0000 0.2500 0.5000 [6 per cell]
Sn: 0.0000 0.0000 0.0000 [2 per cell]
Sn: 0.0000 0.3040 0.1523 [24 per cell]
Ir: 0.2500 0.2500 0.2500 [8 per cell]

Most intense lines, 2θ from 15° to 90°, sorted by position:
| Position (°2θ) | d_spacing | I/Imax |
| --- | --- | --- |
| 18.0 | 4.915 | 57 |
| 25.6 | 3.475 | 21 |
| 32.9 | 2.726 | 100 |
| 34.1 | 2.627 | 35 |
| 36.6 | 2.457 | 35 |
| 37.7 | 2.384 | 22 |
| 41.1 | 2.198 | 53 |
| 45.2 | 2.006 | 80 |
| 62.7 | 1.482 | 21 |
| 83.4 | 1.158 | 24 |